(1)
This entry pairs a crystal structure of Y4In2Ru with its simulated powder X-ray diffraction pattern. Radiation: Cu Kα, 1.54184 Å. Structure: a DFT-relaxed cell (GGA-PBE, Alexandria).

Crystal structure
abc: 11.261 4.750 8.744
angles: 90.00 126.00 90.00
Space group C2/m (No. 12)
One atom of each set of equivalent atoms:
Y1 0.072 0.000 0.358 x4
Y2 0.168 0.500 0.057 x4
In1 0.157 0.500 0.675 x4
Ru1 0.000 0.000 0.000 x2

Most intense lines, 2θ from 10° to 90°, by intensity:
index	2θ/deg	I/Imax
3 1 0	35.07	100
3 1 -3	36.89	80
3 1 -1	30.74	71
0 2 0	37.88	65
1 1 2	37.38	48
0 0 3	38.16	44
1 1 -2	28.19	41
0 2 3	54.86	30

=====

(2)
This entry pairs a crystal structure of YInRu2 with its simulated powder X-ray diffraction pattern. Radiation: Cu Kα, 1.54184 Å. Structure: a DFT-relaxed cell (GGA-PBE, Alexandria).

Crystal structure
abc: 3.247 4.585 9.974
angles: 90.00 90.00 90.00
Space group Imm2 (No. 44)
One atom of each set of equivalent atoms:
Y1 0.000 0.000 0.000 x2
In1 0.000 0.500 0.778 x2
Ru1 0.000 0.000 0.520 x2
Ru2 0.000 0.500 0.237 x2

Most intense lines, 2θ from 10° to 90°, by intensity:
index	2θ/deg	I/Imax
1 1 2	38.47	100
0 0 4	36.02	26
0 2 0	39.30	25
1 3 2	70.69	16
0 2 4	54.36	16
1 1 6	66.39	13
2 0 4	69.03	9
2 2 4	82.44	9

=====

(3)
This entry pairs a crystal structure of Y12InRu6 with its simulated powder X-ray diffraction pattern. Radiation: Cu Kα, 1.54184 Å. Structure: a DFT-relaxed cell (GGA-PBE, Alexandria).

Crystal structure
abc: 9.877 9.877 9.877
angles: 90.00 90.00 90.00
Space group Im-3 (No. 204)
One atom of each set of equivalent atoms:
Y1 0.000 0.296 0.194 x24
In1 0.000 0.000 0.000 x2
Ru1 0.000 0.123 0.500 x12

Most intense lines, 2θ from 10° to 90°, by intensity:
index	2θ/deg	I/Imax
3 1 2	33.96	100
2 2 2	31.37	33
5 0 1	46.91	31
5 2 3	57.52	20
4 0 0	36.39	19
5 3 4	67.00	16
5 3 0	54.15	15
7 0 5	84.36	14

=====

(4)
This entry pairs a crystal structure of ZnInRu2 with its simulated powder X-ray diffraction pattern. Radiation: Cu Kα, 1.54184 Å. Structure: a DFT-relaxed cell (GGA-PBE, Alexandria).

Crystal structure
abc: 2.896 3.677 5.957
angles: 90.00 90.00 90.00
Space group Pmm2 (No. 25)
One atom of each set of equivalent atoms:
Zn1 0.000 0.000 0.000 x1
In1 0.500 0.500 0.285 x1
Ru1 0.000 0.000 0.560 x1
Ru2 0.500 0.500 0.779 x1

Most intense lines, 2θ from 10° to 90°, by intensity:
index	2θ/deg	I/Imax
1 1 0	39.61	100
0 1 2	38.92	99
1 0 2	43.59	71
1 2 2	68.13	36
0 2 0	49.59	26
2 1 2	77.80	25
1 1 4	76.44	21
2 0 0	64.33	11

=====

(5)
This entry pairs a crystal structure of InS8 with its simulated powder X-ray diffraction pattern. Radiation: Cu Kα, 1.54184 Å. Structure: a DFT-relaxed cell (GGA-PBE, Alexandria).

Crystal structure
abc: 4.117 16.510 19.262
angles: 90.00 90.00 90.00
Space group Fmmm (No. 69)
One atom of each set of equivalent atoms:
In1 0.000 0.000 0.000 x4
S1 0.000 0.000 0.167 x8
S2 0.000 0.098 0.103 x16
S3 0.000 0.235 0.500 x8

Most intense lines, 2θ from 10° to 90°, by intensity:
index	2θ/deg	I/Imax
1 1 1	22.73	100
0 2 0	10.72	69
0 4 6	35.42	29
0 4 4	28.48	28
1 3 5	35.85	23
1 3 1	27.45	22
1 5 5	42.20	21
2 4 6	57.70	12

=====

(6)
This entry pairs a crystal structure of In11S16 with its simulated powder X-ray diffraction pattern. Radiation: Cu Kα, 1.54184 Å. Structure: a DFT-relaxed cell (GGA-PBE, Alexandria).

Crystal structure
abc: 7.781 7.781 11.027
angles: 90.00 90.00 90.00
Space group P-4m2 (No. 115)
One atom of each set of equivalent atoms:
In1 0.000 0.000 0.000 x1
In2 0.000 0.268 0.623 x4
In3 0.000 0.500 0.256 x2
In4 0.252 0.500 0.867 x4
S1 0.000 0.226 0.383 x4
S2 0.000 0.264 0.870 x4
S3 0.238 0.500 0.636 x4
S4 0.264 0.500 0.112 x4

Most intense lines, 2θ from 10° to 90°, by intensity:
index	2θ/deg	I/Imax
2 1 1	26.85	100
4 0 0	46.66	67
3 2 1	42.67	45
2 2 0	32.53	37
1 0 1	13.93	23
2 0 0	22.84	19
6 2 4	86.66	13
3 0 5	54.66	13